# 1
This entry pairs a crystal structure of Sm2Er12Th5 with its simulated powder X-ray diffraction pattern. Radiation: CuKα. Structure: a crystal structure in Alexandria, relaxed with GGA-PBE.
Peak positions follow from Bragg's law for the DFT cell and can differ from measured ones.

Peak list (10 most intense, 2θ from 10° to 90°, by angle)
two_theta, I (rel.)
30.99, 100
31.27, 72
34.64, 34
36.81, 49
51.38, 15
51.49, 17
59.81, 13
62.54, 20
62.97, 14
63.08, 14

Structural model:
Cell: 11.444 11.444 8.609 Å, 107.88 107.88 35.36°
Element x y z (fractional)
Sm (0.247, 0.753, 0.000)
Sm (0.753, 0.247, 0.000)
Er (0.047, 0.047, 0.689)
Er (0.048, 0.551, 0.210)
Er (0.133, 0.649, 0.619)
Er (0.349, 0.349, 0.919)
Er (0.351, 0.867, 0.381)
Er (0.449, 0.952, 0.790)
Er (0.551, 0.048, 0.210)
Er (0.649, 0.133, 0.619)
Er (0.651, 0.651, 0.081)
Er (0.867, 0.351, 0.381)
Er (0.952, 0.449, 0.790)
Er (0.953, 0.953, 0.311)
Th (0.153, 0.153, 0.092)
Th (0.252, 0.252, 0.507)
Th (0.500, 0.500, 0.500)
Th (0.748, 0.748, 0.493)
Th (0.847, 0.847, 0.908)

---

# 2
This entry pairs a crystal structure of Ca5Mn2N6 with its simulated powder X-ray diffraction pattern. Radiation: CuKα. Structure: a crystal structure in Alexandria, relaxed with GGA-PBE.
Peak positions follow from Bragg's law for the DFT cell and can differ from measured ones.

Peak list (10 most intense, 2θ from 10° to 90°, by angle)
two_theta, I (rel.)
22.33, 55
28.94, 23
32.30, 63
32.65, 38
34.10, 39
34.24, 32
34.44, 29
34.85, 26
36.26, 100
44.53, 24

Structural model:
Cell: 6.361 4.955 6.894 Å, 90.00 104.03 90.00°
Element x y z (fractional)
Ca (0.000, 0.000, 0.000)
Ca (0.108, 0.000, 0.544)
Ca (0.301, 0.500, 0.267)
Ca (0.671, 0.500, 0.719)
Ca (0.786, 0.500, 0.219)
Mn (0.195, 0.500, 0.820)
Mn (0.614, 0.000, 0.406)
N (0.001, 0.500, 0.975)
N (0.130, 0.500, 0.563)
N (0.338, 0.000, 0.310)
N (0.448, 0.500, 0.957)
N (0.737, 0.000, 0.655)
N (0.802, 0.000, 0.259)

---

# 3
This entry pairs a crystal structure of Pm2Au7 with its simulated powder X-ray diffraction pattern. Radiation: CuKα. Structure: a crystal structure in Alexandria, relaxed with GGA-PBE.
Peak positions follow from Bragg's law for the DFT cell and can differ from measured ones.

Peak list (10 most intense, 2θ from 10° to 90°, by angle)
two_theta, I (rel.)
34.66, 50
36.18, 63
36.42, 92
36.92, 16
37.32, 100
50.97, 34
65.23, 17
65.82, 20
67.83, 12
68.07, 14

Structural model:
Cell: 4.953 4.953 9.091 Å, 95.03 95.03 60.17°
Element x y z (fractional)
Pm (0.143, 0.143, 0.261)
Pm (0.857, 0.857, 0.739)
Au (0.176, 0.176, 0.592)
Au (0.207, 0.207, 0.914)
Au (0.465, 0.465, 0.153)
Au (0.500, 0.500, 0.500)
Au (0.535, 0.535, 0.847)
Au (0.793, 0.793, 0.086)
Au (0.824, 0.824, 0.408)

---

# 4
This entry pairs a crystal structure of Ho3Al12Ru4 with its simulated powder X-ray diffraction pattern. Radiation: CuKα. Structure: a crystal structure in Alexandria, relaxed with GGA-PBE.
Peak positions follow from Bragg's law for the DFT cell and can differ from measured ones.

Peak list (10 most intense, 2θ from 10° to 90°, by angle)
two_theta, I (rel.)
14.87, 41
25.21, 59
30.00, 99
31.13, 22
36.46, 35
36.72, 100
37.51, 37
41.14, 81
56.89, 37
63.11, 22

Structural model:
Cell: 8.777 8.777 9.590 Å, 90.00 90.00 120.00°
Element x y z (fractional)
Ho (0.194, 0.388, 0.250)
Ho (0.194, 0.806, 0.250)
Ho (0.388, 0.194, 0.750)
Ho (0.612, 0.806, 0.250)
Ho (0.806, 0.194, 0.750)
Ho (0.806, 0.612, 0.750)
Al (0.000, 0.000, 0.250)
Al (0.000, 0.000, 0.750)
Al (0.123, 0.562, 0.750)
Al (0.163, 0.325, 0.577)
Al (0.163, 0.325, 0.923)
Al (0.163, 0.837, 0.577)
Al (0.163, 0.837, 0.923)
Al (0.325, 0.163, 0.077)
Al (0.325, 0.163, 0.423)
Al (0.333, 0.667, 0.017)
Al (0.333, 0.667, 0.483)
Al (0.438, 0.562, 0.750)
Al (0.438, 0.877, 0.750)
Al (0.562, 0.123, 0.250)
Al (0.562, 0.438, 0.250)
Al (0.667, 0.333, 0.517)
Al (0.667, 0.333, 0.983)
Al (0.675, 0.837, 0.577)
Al (0.675, 0.837, 0.923)
Al (0.837, 0.163, 0.077)
Al (0.837, 0.163, 0.423)
Al (0.837, 0.675, 0.077)
Al (0.837, 0.675, 0.423)
Al (0.877, 0.438, 0.250)
Ru (0.000, 0.000, 0.000)
Ru (0.000, 0.000, 0.500)
Ru (0.000, 0.500, 0.000)
Ru (0.000, 0.500, 0.500)
Ru (0.500, 0.000, 0.000)
Ru (0.500, 0.000, 0.500)
Ru (0.500, 0.500, 0.000)
Ru (0.500, 0.500, 0.500)

---

# 5
This entry pairs a crystal structure of Tb2PmNd6Sm with its simulated powder X-ray diffraction pattern. Radiation: CuKα. Structure: a crystal structure in Alexandria, relaxed with GGA-PBE.
Peak positions follow from Bragg's law for the DFT cell and can differ from measured ones.

Peak list (10 most intense, 2θ from 10° to 90°, by angle)
two_theta, I (rel.)
27.35, 17
28.01, 41
29.85, 54
29.95, 46
30.30, 13
30.66, 40
30.86, 100
31.64, 26
33.03, 40
33.63, 15

Structural model:
Cell: 8.983 8.983 9.807 Å, 94.15 94.15 117.66°
Element x y z (fractional)
Tb (0.197, 0.294, 0.046)
Tb (0.294, 0.197, 0.546)
Tb (0.706, 0.803, 0.454)
Tb (0.803, 0.706, 0.954)
Pm (0.408, 0.592, 0.750)
Pm (0.592, 0.408, 0.250)
Nd (0.015, 0.567, 0.185)
Nd (0.114, 0.756, 0.555)
Nd (0.244, 0.886, 0.945)
Nd (0.295, 0.509, 0.380)
Nd (0.433, 0.985, 0.315)
Nd (0.491, 0.705, 0.120)
Nd (0.509, 0.295, 0.880)
Nd (0.567, 0.015, 0.685)
Nd (0.705, 0.491, 0.620)
Nd (0.756, 0.114, 0.055)
Nd (0.886, 0.244, 0.445)
Nd (0.985, 0.433, 0.815)
Sm (0.027, 0.973, 0.250)
Sm (0.973, 0.027, 0.750)

---

# 6
This entry pairs a crystal structure of Li2Ta4S7 with its simulated powder X-ray diffraction pattern. Radiation: CuKα. Structure: a crystal structure in Alexandria, relaxed with GGA-PBE.
Peak positions follow from Bragg's law for the DFT cell and can differ from measured ones.

Peak list (10 most intense, 2θ from 10° to 90°, by angle)
two_theta, I (rel.)
11.81, 100
16.12, 19
26.56, 15
27.74, 10
30.59, 19
30.77, 9
32.33, 17
35.27, 12
36.44, 14
39.96, 9

Structural model:
Cell: 5.932 6.005 7.660 Å, 78.21 87.20 69.18°
Element x y z (fractional)
Li (0.179, 0.259, 0.064)
Li (0.821, 0.741, 0.936)
Ta (0.123, 0.245, 0.498)
Ta (0.482, 0.445, 0.329)
Ta (0.518, 0.555, 0.671)
Ta (0.877, 0.755, 0.502)
S (0.052, 0.600, 0.241)
S (0.112, 0.859, 0.710)
S (0.470, 0.842, 0.371)
S (0.500, 0.500, 0.000)
S (0.530, 0.158, 0.629)
S (0.888, 0.141, 0.290)
S (0.948, 0.400, 0.759)

---

# 7
This entry pairs a crystal structure of ThCrSi2 with its simulated powder X-ray diffraction pattern. Radiation: CuKα. Structure: a crystal structure in Alexandria, relaxed with GGA-PBE.
Peak positions follow from Bragg's law for the DFT cell and can differ from measured ones.

Peak list (10 most intense, 2θ from 10° to 90°, by angle)
two_theta, I (rel.)
21.38, 82
23.78, 43
26.28, 54
26.86, 66
30.94, 100
33.41, 91
34.58, 44
35.26, 50
36.83, 64
49.37, 45

Structural model:
Cell: 7.194 4.023 10.180 Å, 90.00 90.00 90.00°
Element x y z (fractional)
Th (0.151, 0.250, 0.128)
Th (0.349, 0.750, 0.628)
Th (0.651, 0.250, 0.372)
Th (0.849, 0.750, 0.872)
Cr (0.011, 0.750, 0.393)
Cr (0.489, 0.250, 0.893)
Cr (0.511, 0.750, 0.107)
Cr (0.989, 0.250, 0.607)
Si (0.162, 0.250, 0.814)
Si (0.201, 0.250, 0.428)
Si (0.299, 0.750, 0.928)
Si (0.338, 0.750, 0.314)
Si (0.662, 0.250, 0.686)
Si (0.701, 0.250, 0.072)
Si (0.799, 0.750, 0.572)
Si (0.838, 0.750, 0.186)

---

# 8
This entry pairs a crystal structure of Ho6ErTmSc2 with its simulated powder X-ray diffraction pattern. Radiation: CuKα. Structure: a crystal structure in Alexandria, relaxed with GGA-PBE.
Peak positions follow from Bragg's law for the DFT cell and can differ from measured ones.

Peak list (10 most intense, 2θ from 10° to 90°, by angle)
two_theta, I (rel.)
23.60, 20
29.33, 35
31.42, 55
31.55, 39
32.19, 100
32.50, 38
34.90, 37
35.65, 25
38.80, 14
52.27, 14

Structural model:
Cell: 8.567 8.567 9.299 Å, 93.68 93.68 117.63°
Element x y z (fractional)
Ho (0.018, 0.563, 0.182)
Ho (0.121, 0.757, 0.554)
Ho (0.243, 0.879, 0.946)
Ho (0.296, 0.503, 0.383)
Ho (0.437, 0.982, 0.318)
Ho (0.497, 0.704, 0.117)
Ho (0.503, 0.296, 0.883)
Ho (0.563, 0.018, 0.682)
Ho (0.704, 0.497, 0.617)
Ho (0.757, 0.121, 0.054)
Ho (0.879, 0.243, 0.446)
Ho (0.982, 0.437, 0.818)
Er (0.026, 0.974, 0.250)
Er (0.974, 0.026, 0.750)
Tm (0.408, 0.592, 0.750)
Tm (0.592, 0.408, 0.250)
Sc (0.197, 0.304, 0.047)
Sc (0.304, 0.197, 0.547)
Sc (0.696, 0.803, 0.453)
Sc (0.803, 0.696, 0.953)